For Ba4SrFe3O12, a DFT-relaxed cell (PBE+U, Alexandria) gives the simulated XRD peak list in this record (Cu Kα, 1.54184 Å).
Intensities are scaled so that the largest is 100.

Top 8 peaks for 15° ≤ 2θ ≤ 90°, by angle:
- 2θ = 21.35°, rel. 7.3, hkl 2 0 0
- 2θ = 30.37°, rel. 100.0, hkl 2 2 0
- 2θ = 37.42°, rel. 14.3, hkl 2 2 2
- 2θ = 43.48°, rel. 32.4, hkl 4 0 0
- 2θ = 53.95°, rel. 38.4, hkl 4 2 2
- 2θ = 63.18°, rel. 19.4, hkl 4 4 0
- 2θ = 71.70°, rel. 17.6, hkl 6 2 0
- 2θ = 87.73°, rel. 21.0, hkl 6 4 2

Crystal structure
```
data_Ba4SrFe3O12
_cell_length_a 8.3255
_cell_length_b 8.3255
_cell_length_c 8.3255
_cell_angle_alpha 90.00
_cell_angle_beta 90.00
_cell_angle_gamma 90.00
_space_group_name_H-M_alt 'I m -3 m'
_space_group_IT_number 229
_space_group_name_Hall '-I 4 2 3'
loop_
_atom_site_label
_atom_site_fract_x
_atom_site_fract_y
_atom_site_fract_z
Ba1 0.2500 0.2500 0.2500
Sr1 0.0000 0.0000 0.0000
Fe1 0.0000 0.0000 0.5000
O1 0.0000 0.0000 0.2814
O2 0.0000 0.2500 0.5000
```